Entry 1:
# LiLaMg14
Theoretical XRD peak list, copper Kα. Input: a crystal structure in the Materials Project, relaxed with PBE.

The 10 most intense peaks (10° ≤ 2θ ≤ 90°), in order of rising 2θ:
- 15.49 deg, intensity 16
- 17.74 deg, intensity 51
- 28.38 deg, intensity 18
- 31.26 deg, intensity 27
- 34.90 deg, intensity 24
- 35.92 deg, intensity 100
- 47.55 deg, intensity 16
- 55.64 deg, intensity 18
- 63.25 deg, intensity 18
- 67.39 deg, intensity 19

Crystal structure
a = 6.6073 Å, b = 6.6073 Å, c = 10.2833 Å
α = 90.00°, β = 90.00°, γ = 120.00°
Fractional coordinates of all 16 atoms:
Li  0.0000  0.0000  0.0000
La  0.0000  0.0000  0.5000
Mg  0.0005  0.5002  0.0000
Mg  0.0098  0.5049  0.5000
Mg  0.1683  0.3367  0.2432
Mg  0.1683  0.3367  0.7568
Mg  0.1683  0.8317  0.2432
Mg  0.1683  0.8317  0.7568
Mg  0.4951  0.5049  0.5000
Mg  0.4951  0.9902  0.5000
Mg  0.4998  0.9995  0.0000
Mg  0.4998  0.5002  0.0000
Mg  0.6633  0.8317  0.2432
Mg  0.6633  0.8317  0.7568
Mg  0.6667  0.3333  0.2548
Mg  0.6667  0.3333  0.7452

---

Entry 2:
# K2P2H2O7
Theoretical XRD peak list, copper Kα. Input: a crystal structure in the Materials Project, relaxed with PBE.

The 10 most intense peaks (10° ≤ 2θ ≤ 90°), in order of rising 2θ:
- 10.59 deg, intensity 49
- 12.31 deg, intensity 92
- 12.82 deg, intensity 93
- 16.08 deg, intensity 59
- 25.51 deg, intensity 73
- 26.13 deg, intensity 91
- 26.65 deg, intensity 100
- 27.80 deg, intensity 54
- 30.32 deg, intensity 59
- 30.58 deg, intensity 54

Crystal structure
a = 8.3963 Å, b = 8.4436 Å, c = 11.1835 Å
α = 81.15°, β = 85.45°, γ = 87.05°
Fractional coordinates of all 52 atoms:
K  0.0866  0.1920  0.0797
K  0.2186  0.3733  0.4153
K  0.2558  0.7895  0.5556
K  0.2963  0.7059  0.0580
K  0.7037  0.2941  0.9420
K  0.7442  0.2105  0.4444
K  0.7814  0.6267  0.5847
K  0.9134  0.8080  0.9203
P  0.0146  0.7835  0.2839
P  0.1322  0.4974  0.7968
P  0.2871  0.0452  0.7892
P  0.4408  0.3531  0.6959
P  0.5592  0.6469  0.3041
P  0.7129  0.9548  0.2108
P  0.8678  0.5026  0.2032
P  0.9854  0.2165  0.7161
H  0.2417  0.0067  0.3194
H  0.4025  0.2909  0.0417
H  0.4046  0.0550  0.3577
H  0.4740  0.2022  0.1651
H  0.5260  0.7978  0.8349
H  0.5954  0.9450  0.6423
H  0.5975  0.7091  0.9583
H  0.7583  0.9933  0.6806
O  0.0301  0.3318  0.8128
O  0.0321  0.6360  0.7384
O  0.0484  0.6873  0.4037
O  0.1369  0.8940  0.2161
O  0.1540  0.1147  0.6940
O  0.1909  0.5011  0.9192
O  0.2086  0.9869  0.9125
O  0.2747  0.4673  0.6942
O  0.2897  0.0523  0.3837
O  0.3833  0.2035  0.8014
O  0.3921  0.2798  0.1299
O  0.3951  0.9290  0.7279
O  0.4310  0.5689  0.2519
O  0.4638  0.3043  0.5728
O  0.5362  0.6957  0.4272
O  0.5690  0.4311  0.7481
O  0.6049  0.0710  0.2721
O  0.6079  0.7202  0.8701
O  0.6167  0.7965  0.1986
O  0.7103  0.9477  0.6163
O  0.7253  0.5327  0.3058
O  0.7914  0.0131  0.0875
O  0.8091  0.4989  0.0808
O  0.8460  0.8853  0.3060
O  0.8631  0.1060  0.7839
O  0.9516  0.3127  0.5963
O  0.9679  0.3640  0.2616
O  0.9699  0.6682  0.1872

---

Entry 3:
# Sr2CeNbO6
Theoretical XRD peak list, copper Kα. Input: a crystal structure in the Materials Project, relaxed with PBE.

The 10 most intense peaks (10° ≤ 2θ ≤ 90°), in order of rising 2θ:
- 20.75 deg, intensity 8
- 29.51 deg, intensity 100
- 34.75 deg, intensity 2
- 42.22 deg, intensity 33
- 47.49 deg, intensity 3
- 52.35 deg, intensity 40
- 61.24 deg, intensity 20
- 69.42 deg, intensity 18
- 77.19 deg, intensity 7
- 84.72 deg, intensity 21

Crystal structure
a = 6.0545 Å, b = 6.0545 Å, c = 6.0545 Å
α = 60.00°, β = 60.00°, γ = 60.00°
Fractional coordinates of all 10 atoms:
Sr  0.2500  0.2500  0.2500
Sr  0.7500  0.7500  0.7500
Ce  0.0000  0.0000  0.0000
Nb  0.5000  0.5000  0.5000
O  0.2628  0.2628  0.7372
O  0.2628  0.7372  0.2628
O  0.2628  0.7372  0.7372
O  0.7372  0.2628  0.2628
O  0.7372  0.2628  0.7372
O  0.7372  0.7372  0.2628

---

Entry 4:
# Fe3Cu
Theoretical XRD peak list, copper Kα. Input: a crystal structure in the Materials Project, relaxed with PBE.

The 7 most intense peaks (10° ≤ 2θ ≤ 90°), in order of rising 2θ:
- 27.57 deg, intensity 1
- 43.35 deg, intensity 100
- 50.42 deg, intensity 31
- 50.63 deg, intensity 15
- 74.07 deg, intensity 9
- 74.24 deg, intensity 18
- 89.91 deg, intensity 21

Crystal structure
a = 4.4223 Å, b = 4.4223 Å, c = 4.4223 Å
α = 131.68°, β = 131.68°, γ = 70.74°
Fractional coordinates of all 4 atoms:
Fe  0.0000  0.0000  0.0000
Fe  0.2500  0.7500  0.5000
Fe  0.7500  0.2500  0.5000
Cu  0.5000  0.5000  0.0000

---

Entry 5:
# SrO
Theoretical XRD peak list, copper Kα. Input: a crystal structure in the Materials Project, relaxed with PBE.

The 10 most intense peaks (10° ≤ 2θ ≤ 90°), in order of rising 2θ:
- 28.52 deg, intensity 20
- 28.74 deg, intensity 8
- 32.17 deg, intensity 100
- 40.94 deg, intensity 32
- 50.93 deg, intensity 24
- 52.86 deg, intensity 24
- 59.41 deg, intensity 16
- 61.53 deg, intensity 15
- 81.67 deg, intensity 12
- 83.85 deg, intensity 13

Crystal structure
a = 3.5863 Å, b = 3.5863 Å, c = 6.2593 Å
α = 90.00°, β = 90.00°, γ = 120.00°
Fractional coordinates of all 4 atoms:
Sr  0.3333  0.6667  0.2500
Sr  0.6667  0.3333  0.7500
O  0.0000  0.0000  0.0000
O  0.0000  0.0000  0.5000

---

Entry 6:
# PmPu3
Theoretical XRD peak list, copper Kα. Input: a crystal structure in the Materials Project, relaxed with PBE.

The 10 most intense peaks (10° ≤ 2θ ≤ 90°), in order of rising 2θ:
- 29.67 deg, intensity 23
- 32.24 deg, intensity 25
- 33.87 deg, intensity 100
- 44.38 deg, intensity 16
- 52.65 deg, intensity 19
- 58.54 deg, intensity 22
- 63.10 deg, intensity 23
- 64.09 deg, intensity 16
- 82.61 deg, intensity 8
- 87.50 deg, intensity 14

Crystal structure
a = 6.9534 Å, b = 6.9534 Å, c = 5.5531 Å
α = 90.00°, β = 90.00°, γ = 120.00°
Fractional coordinates of all 8 atoms:
Pm  0.3333  0.6667  0.2500
Pm  0.6667  0.3333  0.7500
Pu  0.1623  0.3246  0.7500
Pu  0.1623  0.8377  0.7500
Pu  0.3246  0.1623  0.2500
Pu  0.6754  0.8377  0.7500
Pu  0.8377  0.1623  0.2500
Pu  0.8377  0.6754  0.2500

---

Entry 7:
# BaCaCeZrO6
Theoretical XRD peak list, copper Kα. Input: a crystal structure in the Materials Project, relaxed with PBE.

The 10 most intense peaks (10° ≤ 2θ ≤ 90°), in order of rising 2θ:
- 20.82 deg, intensity 6
- 29.61 deg, intensity 100
- 42.26 deg, intensity 10
- 42.42 deg, intensity 19
- 52.50 deg, intensity 31
- 52.59 deg, intensity 15
- 61.42 deg, intensity 11
- 69.52 deg, intensity 6
- 84.97 deg, intensity 11
- 85.15 deg, intensity 11

Crystal structure
a = 8.5163 Å, b = 8.5321 Å, c = 8.5547 Å
α = 90.00°, β = 90.00°, γ = 90.00°
Fractional coordinates of all 40 atoms:
Ba  0.0000  0.0000  0.0000
Ba  0.0000  0.0000  0.5000
Ba  0.0000  0.5000  0.0000
Ba  0.5000  0.5000  0.5000
Ca  0.0000  0.5000  0.5000
Ca  0.5000  0.0000  0.0000
Ca  0.5000  0.0000  0.5000
Ca  0.5000  0.5000  0.0000
Ce  0.2559  0.2512  0.2513
Ce  0.2559  0.7488  0.7487
Ce  0.7441  0.2512  0.7487
Ce  0.7441  0.7488  0.2513
Zr  0.2563  0.2503  0.7489
Zr  0.2563  0.7497  0.2511
Zr  0.7437  0.2503  0.2511
Zr  0.7437  0.7497  0.7489
O  0.0083  0.2739  0.7850
O  0.0083  0.7261  0.2150
O  0.2085  0.3071  0.5079
O  0.2085  0.6929  0.4921
O  0.2227  0.0056  0.7172
O  0.2227  0.9944  0.2828
O  0.3004  0.2037  0.9927
O  0.3004  0.7963  0.0073
O  0.3042  0.4914  0.7992
O  0.3042  0.5086  0.2008
O  0.4935  0.2082  0.6870
O  0.4935  0.7918  0.3130
O  0.5065  0.2082  0.3130
O  0.5065  0.7918  0.6870
O  0.6958  0.4914  0.2008
O  0.6958  0.5086  0.7992
O  0.6996  0.2037  0.0073
O  0.6996  0.7963  0.9927
O  0.7773  0.0056  0.2828
O  0.7773  0.9944  0.7172
O  0.7915  0.3071  0.4921
O  0.7915  0.6929  0.5079
O  0.9917  0.2739  0.2150
O  0.9917  0.7261  0.7850

---

Entry 8:
# Na3NbAs2O9
Theoretical XRD peak list, copper Kα. Input: a crystal structure in the Materials Project, relaxed with PBE.

The 10 most intense peaks (10° ≤ 2θ ≤ 90°), in order of rising 2θ:
- 13.37 deg, intensity 73
- 16.83 deg, intensity 47
- 18.03 deg, intensity 44
- 21.70 deg, intensity 100
- 25.36 deg, intensity 37
- 28.13 deg, intensity 60
- 29.64 deg, intensity 61
- 30.24 deg, intensity 46
- 30.53 deg, intensity 45
- 31.69 deg, intensity 42

Crystal structure
a = 9.8285 Å, b = 8.6837 Å, c = 10.8261 Å
α = 90.00°, β = 109.10°, γ = 90.00°
Fractional coordinates of all 60 atoms:
Na  0.0331  0.0458  0.2582
Na  0.0331  0.4542  0.7582
Na  0.2996  0.7365  0.8538
Na  0.2996  0.7635  0.3538
Na  0.3343  0.0478  0.0073
Na  0.3343  0.4522  0.5073
Na  0.6657  0.5478  0.4927
Na  0.6657  0.9522  0.9927
Na  0.7004  0.2365  0.6462
Na  0.7004  0.2635  0.1462
Na  0.9669  0.5458  0.2418
Na  0.9669  0.9542  0.7418
Nb  0.2799  0.0771  0.6146
Nb  0.2799  0.4229  0.1146
Nb  0.7201  0.5771  0.8854
Nb  0.7201  0.9229  0.3854
As  0.0735  0.7389  0.5259
As  0.0735  0.7611  0.0259
As  0.4316  0.1761  0.3606
As  0.4316  0.3239  0.8606
As  0.5684  0.6761  0.1394
As  0.5684  0.8239  0.6394
As  0.9265  0.2389  0.9741
As  0.9265  0.2611  0.4741
O  0.0866  0.7158  0.6842
O  0.0866  0.7842  0.1842
O  0.1007  0.2055  0.5658
O  0.1007  0.2945  0.0658
O  0.1238  0.5921  0.4492
O  0.1238  0.9079  0.9492
O  0.1722  0.5993  0.0002
O  0.1722  0.9007  0.5002
O  0.2751  0.5024  0.2644
O  0.2751  0.9976  0.7644
O  0.2811  0.1479  0.4049
O  0.2811  0.3521  0.9049
O  0.3825  0.2169  0.1932
O  0.3825  0.2831  0.6932
O  0.4629  0.6850  0.5472
O  0.4629  0.8150  0.0472
O  0.4819  0.0008  0.6292
O  0.4819  0.4992  0.1292
O  0.5181  0.5008  0.8708
O  0.5181  0.9992  0.3708
O  0.5371  0.1850  0.9528
O  0.5371  0.3150  0.4528
O  0.6175  0.7169  0.3068
O  0.6175  0.7831  0.8068
O  0.7189  0.6479  0.0951
O  0.7189  0.8521  0.5951
O  0.7249  0.0024  0.2356
O  0.7249  0.4976  0.7356
O  0.8278  0.0993  0.4998
O  0.8278  0.4007  0.9998
O  0.8762  0.0921  0.0508
O  0.8762  0.4079  0.5508
O  0.8993  0.7055  0.9342
O  0.8993  0.7945  0.4342
O  0.9134  0.2158  0.8158
O  0.9134  0.2842  0.3158